# Rb2LaI5
Computed powder diffraction line list, copper Kα. Input: a DFT-relaxed cell (GGA-PBE, the Materials Project).
Lines closer than 0.1° are merged.

Atomic structure:
```
32
Lattice="15.179 0.000 0.000 0.000 10.145 0.000 0.000 0.000 9.559" Properties=species:S:1:pos:R:3 pbc="T T T"
Rb 2.648 0.025 0.560
Rb 2.648 5.048 0.560
Rb 4.942 5.097 5.339
Rb 4.942 10.120 5.339
Rb 10.237 0.025 4.220
Rb 10.237 5.048 4.220
Rb 12.531 5.097 8.999
Rb 12.531 10.120 8.999
La 0.082 2.536 5.513
La 7.507 7.609 0.733
La 7.672 2.536 8.825
La 15.097 7.609 4.046
I 0.158 2.536 8.781
I 1.132 5.539 6.354
I 1.132 9.679 6.354
I 2.670 2.536 3.604
I 3.051 7.609 3.274
I 4.539 2.536 8.053
I 4.919 7.609 8.384
I 6.458 0.466 1.574
I 6.458 4.606 1.574
I 7.431 7.609 4.001
I 7.748 2.536 5.557
I 8.721 5.539 7.984
I 8.721 9.679 7.984
I 10.260 2.536 1.175
I 10.640 7.609 1.505
I 12.128 2.536 6.285
I 12.509 7.609 5.954
I 14.047 0.466 3.205
I 14.047 4.606 3.205
I 15.021 7.609 0.778
```

Largest 12 diffraction maxima, by angle, 2θ = 10–90°:
hkl 1 0 1, 10.94 deg, I = 28
hkl 2 2 1, 23.05 deg, I = 37
hkl 4 0 1, 25.25 deg, I = 73
hkl 3 0 2, 25.64 deg, I = 26
hkl 1 2 2, 26.28 deg, I = 100
hkl 3 2 1, 26.57 deg, I = 55
hkl 2 2 2, 28.22 deg, I = 49
hkl 1 0 3, 28.63 deg, I = 26
hkl 4 2 0, 29.39 deg, I = 40
hkl 2 1 3, 31.71 deg, I = 32
hkl 0 4 0, 35.39 deg, I = 42
hkl 5 2 1, 35.73 deg, I = 30